This entry pairs a crystal structure of Li5TiV3O8 with its computed powder XRD pattern. Radiation: Cu Kα X-rays. Structure: a GGA+U-relaxed structure.
Lines closer than 0.1° are merged.

Crystal structure
```
data_Li5TiV3O8
_symmetry_space_group_name_H-M 'C 1 m 1'
_symmetry_Int_Tables_number 8
_symmetry_space_group_name_Hall 'C -2y'
_cell_length_a 12.485
_cell_length_b 4.181
_cell_length_c 6.784
_cell_angle_alpha 90.00
_cell_angle_beta 108.18
_cell_angle_gamma 90.00
loop_
_atom_site_label
_atom_site_fract_x
_atom_site_fract_y
_atom_site_fract_z
_atom_site_occupancy
Li1 0.000 0.000 0.000 1
Li2 0.054 0.500 0.354 1
Li3 0.116 0.000 0.743 1
Li4 0.245 0.000 0.363 1
Li5 0.382 0.500 0.374 1
Ti1 0.272 0.500 0.678 1
V1 0.171 0.500 0.053 1
V2 0.341 0.000 0.046 1
V3 0.449 0.000 0.691 1
O1 0.000 0.500 0.031 1
O2 0.122 0.500 0.710 1
O3 0.175 0.000 0.052 1
O4 0.218 0.500 0.387 1
O5 0.277 0.000 0.701 1
O6 0.336 0.500 0.018 1
O7 0.403 0.000 0.362 1
O8 0.437 0.500 0.690 1
```

Peak list (8 most intense, 10° ≤ 2θ ≤ 90°, sorted by position)
hkl	Position (°2θ)	I (rel.)
0 0 1	13.7	100
2 0 0	14.9	71
1 1 0	22.6	88
0 0 2	27.7	50
0 0 3	42.1	74
0 2 0	43.3	74
6 0 -1	43.5	69
0 2 3	61.9	57